Structure and theoretical X-ray diffraction stick pattern of TlV5Se8 (the GGA-PBE geometry in the Materials Project; Cu Kα).
Kinematic intensities with the Lorentz-polarization factor, no thermal factor.

Cell and atoms:
```
TlV5Se8
1.0
9.154 -1.742 0.000
9.154 1.742 0.000
-2.117 0.000 8.994
Tl V Se
1 5 8
direct
0.000 0.000 0.000
0.145 0.145 0.497
0.207 0.207 0.834
0.500 0.500 0.500
0.793 0.793 0.166
0.855 0.855 0.503
0.070 0.070 0.680
0.260 0.260 0.350
0.336 0.336 0.004
0.413 0.413 0.680
0.587 0.587 0.320
0.664 0.664 0.996
0.740 0.740 0.650
0.930 0.930 0.320
```

Main lines, in order of rising 2θ (2θ = 5–70°):
d (Å), Position (°2θ), I_rel
3.000, 29.78, 43
2.790, 32.08, 49
2.756, 32.49, 100
2.645, 33.89, 99
2.308, 39.03, 19
2.258, 39.94, 44
2.252, 40.04, 24
2.009, 45.12, 25
1.757, 52.06, 43
1.742, 52.53, 24
1.708, 53.66, 19
1.629, 56.49, 17


Structure and theoretical X-ray diffraction stick pattern of PrYIn2 (the GGA-PBE geometry in the Materials Project; Cu Kα).
Kinematic intensities with the Lorentz-polarization factor, no thermal factor.

Cell and atoms:
```
PrYIn2
1.0
0.000 4.434 4.434
4.434 0.000 4.434
4.434 4.434 0.000
Pr Y In
1 1 2
direct
0.000 0.000 0.000
0.500 0.500 0.500
0.250 0.250 0.250
0.750 0.750 0.750
```

Main lines, in order of rising 2θ (2θ = 5–70°):
d (Å), Position (°2θ), I_rel
5.120, 17.32, 2
3.135, 28.47, 100
2.674, 33.51, 2
2.217, 40.70, 19
2.034, 44.53, 1
1.810, 50.41, 40
1.707, 53.71, 1
1.568, 58.91, 12
1.499, 61.90, 1
1.402, 66.71, 17